[1]
This entry pairs a crystal structure of TbZnGe with its simulated powder XRD pattern. Radiation: a wavelength of 1.5418 Å. Structure: DFT lattice parameters and positions (GGA-PBE).

Structure:
a b c (Å): 4.245 4.245 15.630
angles (deg): 90.00 90.00 120.00
Positions (direct):
Tb: 0.000 0.000 0.000
Tb: 0.000 0.000 0.250
Tb: 0.000 0.000 0.500
Tb: 0.000 0.000 0.750
Zn: 0.333 0.667 0.145
Zn: 0.333 0.667 0.355
Zn: 0.667 0.333 0.645
Zn: 0.667 0.333 0.855
Ge: 0.333 0.667 0.613
Ge: 0.333 0.667 0.887
Ge: 0.667 0.333 0.113
Ge: 0.667 0.333 0.387

Largest 10 diffraction maxima, most intense first, 2θ from 15° to 90°:
(1 0 4), d = 2.678 Å, I 100; (1 1 0), d = 2.123 Å, I 47; (2 0 4), d = 1.663 Å, I 24; (2 1 4), d = 1.309 Å, I 21; (1 1 8), d = 1.438 Å, I 19; (1 0 0), d = 3.677 Å, I 16; (0 0 8), d = 1.954 Å, I 9; (3 0 0), d = 1.226 Å, I 8; (1 0 8), d = 1.725 Å, I 6; (1 0 12), d = 1.228 Å, I 6

[2]
This entry pairs a crystal structure of YUCr4Si4 with its simulated powder XRD pattern. Radiation: a wavelength of 1.5418 Å. Structure: DFT lattice parameters and positions (GGA-PBE).

Structure:
a b c (Å): 3.880 3.880 10.485
angles (deg): 90.00 90.00 90.00
Positions (direct):
Y: 0.000 0.000 0.000
U: 0.500 0.500 0.500
Cr: 0.000 0.500 0.255
Cr: 0.000 0.500 0.745
Cr: 0.500 0.000 0.255
Cr: 0.500 0.000 0.745
Si: 0.000 0.000 0.387
Si: 0.000 0.000 0.613
Si: 0.500 0.500 0.118
Si: 0.500 0.500 0.882

Largest 10 diffraction maxima, most intense first, 2θ from 15° to 90°:
(1 1 2), d = 2.431 Å, I 100; (1 0 3), d = 2.597 Å, I 59; (1 0 1), d = 3.639 Å, I 50; (2 0 0), d = 1.940 Å, I 35; (1 0 5), d = 1.845 Å, I 26; (2 1 3), d = 1.554 Å, I 25; (3 1 2), d = 1.195 Å, I 20; (0 0 4), d = 2.621 Å, I 18; (2 1 5), d = 1.337 Å, I 18; (1 1 6), d = 1.474 Å, I 16